Simulated powder diffractogram of Pr5Dy4 for λ = 1.5418 Å (Cu Kα), from a PBE-relaxed structure.
Lines closer than 0.1° are merged.

Top 8 peaks for 5 to 70 degrees two-theta, most intense first:
2θ/deg	d (Å)	I/Imax
30.1	2.970	100
34.8	2.575	34
59.5	1.552	29
50.2	1.817	24
35.0	2.565	17
59.7	1.548	14
62.6	1.485	12
50.1	1.821	12

Cell and atoms:
abc: 8.1407 8.1407 8.1407
angles: 95.70 95.70 143.27
Element x y z (fractional)
Pr  0.0000  0.0000  0.0000
Pr  0.0000  0.3306  0.3306
Pr  0.0000  0.6694  0.6694
Pr  0.3306  0.0000  0.3306
Pr  0.6694  0.0000  0.6694
Dy  0.3332  0.3332  0.6665
Dy  0.3332  0.6668  0.0000
Dy  0.6668  0.3332  0.0000
Dy  0.6668  0.6668  0.3335